# La2MgFe2Te2O12
Simulated powder XRD pattern, λ = 1.5418 Å (Cu Kα). Input: a PBE+U-relaxed structure.

Peak list (8 most intense, 15° ≤ 2θ ≤ 90°, sorted by position)
- 2θ = 20.8°, d = 4.276 Å, intensity 14.0, hkl 1 0 1
- 2θ = 25.1°, d = 3.543 Å, intensity 100.0, hkl 1 0 2
- 2θ = 31.1°, d = 2.872 Å, intensity 16.1, hkl 1 0 3
- 2θ = 33.4°, d = 2.681 Å, intensity 45.8, hkl 1 1 0
- 2θ = 42.3°, d = 2.138 Å, intensity 23.6, hkl 2 0 2
- 2θ = 47.4°, d = 1.917 Å, intensity 43.7, hkl 2 -1 4
- 2θ = 54.9°, d = 1.671 Å, intensity 22.3, hkl 3 -1 2
- 2θ = 59.8°, d = 1.548 Å, intensity 17.1, hkl 3 0 0

Structural model:
```
data_La2MgFe2Te2O12
_chemical_formula_sum 'La2 Mg1 Fe2 Te2 O12'
_cell_length_a 5.3612
_cell_length_b 5.3612
_cell_length_c 10.9675
_cell_angle_alpha 90.00
_cell_angle_beta 90.00
_cell_angle_gamma 120.00
_symmetry_space_group_name_H-M 'P 3 1 2'
_symmetry_Int_Tables_number 149
loop_
_symmetry_equiv_pos_as_xyz
'x,y,z'
'-y,x-y,z'
'-x+y,-x,z'
'-y,-x,-z'
'-x+y,y,-z'
'x,x-y,-z'
loop_
_atom_site_label
_atom_site_fract_x
_atom_site_fract_y
_atom_site_fract_z
_atom_site_occupancy
La1 0.0000 0.0000 0.2154 1
Mg1 0.0000 0.0000 0.5000 1
Fe1 0.3333 0.6667 0.5000 1
Fe2 0.6667 0.3333 0.0000 1
Te1 0.3333 0.6667 0.0000 1
Te2 0.6667 0.3333 0.5000 1
O1 0.0268 0.3785 0.1024 1
O2 0.3355 0.0023 0.5978 1
```